Cs3BeCl5: calculated XRD peak list (λ = 1.5418 Å (Cu Kα)), based on a DFT-relaxed cell (GGA-PBE, Alexandria).

Most intense lines, 10° ≤ 2θ ≤ 90°, in order of falling intensity:
Position (°2θ)	d (Å)	I_rel
28.5	3.129	100
30.0	2.975	63
22.8	3.908	58
22.1	4.030	40
39.7	2.270	28
25.4	3.512	24

```
18
Lattice="-4.704 4.704 7.023 4.704 -4.704 7.023 4.704 4.704 -7.023" Properties=species:S:1:pos:R:3 pbc="T T T"
Cs 6.311 1.607 0.000
Cs 0.000 0.000 3.512
Cs 1.607 3.097 0.000
Cs 3.097 1.607 7.023
Cs 0.000 0.000 10.535
Cs -1.607 3.097 7.023
Be 4.704 0.000 3.512
Be 0.000 4.704 3.512
Cl 0.000 0.000 0.000
Cl 5.882 -1.178 2.322
Cl 3.526 -1.178 4.702
Cl 3.526 1.178 2.322
Cl 5.882 1.178 4.702
Cl 0.000 0.000 7.023
Cl -1.178 3.526 2.322
Cl 1.178 3.526 4.702
Cl 1.178 5.882 2.322
Cl -1.178 5.882 4.702
```